[1]
Calculated XRD peak list
Compound: YZnGa2Pd4
Radiation: Cu Ka
Structure: a crystal structure in OQMD, relaxed with GGA-PBE
Kinematic intensities with the Lorentz-polarization factor, no thermal factor.

```
data_YZnGa2Pd4
_space_group_name_H-M_alt 'P 4/m m m'
_space_group_IT_number 123
_space_group_name_Hall '-P 4 2'
_cell_length_a 4.503
_cell_length_b 4.503
_cell_length_c 6.502
_cell_angle_alpha 90.00
_cell_angle_beta 90.00
_cell_angle_gamma 90.00
loop_
_atom_site_label
_atom_site_type_symbol
_atom_site_fract_x
_atom_site_fract_y
_atom_site_fract_z
Y1 Y 0.000 0.000 0.000
Zn1 Zn 0.500 0.500 0.500
Ga1 Ga 0.000 0.000 0.500
Ga2 Ga 0.500 0.500 0.000
Pd1 Pd 0.000 0.500 0.276
```

Principal peaks in the range 2θ from 10° to 90°, sorted by position:
2θ 39.62, d = 2.275 Å, I 100.0; 2θ 40.05, d = 2.251 Å, I 51.5; 2θ 56.62, d = 1.626 Å, I 7.1; 2θ 57.93, d = 1.592 Å, I 17.0; 2θ 71.60, d = 1.318 Å, I 13.7; 2θ 72.47, d = 1.304 Å, I 32.1; 2θ 85.35, d = 1.137 Å, I 8.6; 2θ 86.44, d = 1.126 Å, I 7.1

---

[2]
Calculated XRD peak list
Compound: ScTaNi2Pt4
Radiation: Cu Ka
Structure: a crystal structure in OQMD, relaxed with GGA-PBE
Kinematic intensities with the Lorentz-polarization factor, no thermal factor.

```
data_ScTaNi2Pt4
_space_group_name_H-M_alt 'P m m 2'
_space_group_IT_number 25
_space_group_name_Hall 'P 2 -2'
_cell_length_a 4.440
_cell_length_b 5.545
_cell_length_c 4.876
_cell_angle_alpha 90.00
_cell_angle_beta 90.00
_cell_angle_gamma 90.00
loop_
_atom_site_label
_atom_site_type_symbol
_atom_site_fract_x
_atom_site_fract_y
_atom_site_fract_z
Sc1 Sc 0.000 0.000 0.000
Ta1 Ta 0.500 0.500 0.315
Ni1 Ni 0.000 0.500 0.987
Ni2 Ni 0.500 0.000 0.350
Pt1 Pt 0.000 0.249 0.483
Pt2 Pt 0.500 0.255 0.835
```

Principal peaks in the range 2θ from 10° to 90°, sorted by position:
2θ 27.16, d = 3.283 Å, I 24.9; 2θ 37.31, d = 2.410 Å, I 21.0; 2θ 40.64, d = 2.220 Å, I 36.7; 2θ 42.29, d = 2.137 Å, I 44.2; 2θ 42.69, d = 2.118 Å, I 100.0; 2θ 66.71, d = 1.402 Å, I 16.2; 2θ 75.36, d = 1.261 Å, I 18.7; 2θ 81.12, d = 1.186 Å, I 18.9